This entry pairs a crystal structure of Li2YIn2 with its theoretical powder X-ray diffraction pattern. Radiation: Cu Kα, 1.54184 Å. Structure: a cell relaxed with GGA-PBE.
Intensities are scaled so that the largest is 100.

abc: 8.2372 8.2372 3.1665
angles: 90.00 90.00 90.00
Element x y z (fractional)
Li 0.1170 0.3830 0.0000
Li 0.3830 0.8830 0.0000
Li 0.6170 0.1170 0.0000
Li 0.8830 0.6170 0.0000
Y 0.0000 0.0000 0.0000
Y 0.5000 0.5000 0.0000
In 0.1778 0.6778 0.5000
In 0.3222 0.1778 0.5000
In 0.6778 0.8222 0.5000
In 0.8222 0.3222 0.5000

Peak list (8 most intense, 2θ from 5° to 70°, low angle first)
2θ/deg, intensity, hkl
24.16, 100, 2 1 0
30.70, 35, 2 2 0
32.18, 32, 1 1 1
34.43, 61, 3 1 0
35.77, 79, 2 0 1
37.45, 75, 2 1 1
54.29, 34, 4 1 1
55.52, 38, 3 3 1